(1)
Structure and calculated XRD peak list of K2SmAuCl6 (a PBE-relaxed structure; Cu Kα X-rays).
Peak positions follow from Bragg's law for the DFT cell and can differ from measured ones.

Crystal structure
Lattice parameters (Å, degrees): 10.8471 10.8471 10.8471 90.00 90.00 90.00
Space group Fm-3m (No. 225)
Asymmetric unit:
K  0.2500  0.2500  0.2500 x8
Sm  0.0000  0.0000  0.0000 x4
Au  0.0000  0.0000  0.5000 x4
Cl  0.0000  0.0000  0.2476 x24

Top 10 peaks for 10 to 80 degrees two-theta, low angle first:
| d (Å) | Position (°2θ) | I_rel | (hkl) |
| --- | --- | --- | --- |
| 5.424 | 16.34 | 100 | 2 0 0 |
| 3.835 | 23.19 | 98 | 2 2 0 |
| 2.712 | 33.03 | 66 | 4 0 0 |
| 2.425 | 37.07 | 53 | 4 2 0 |
| 2.214 | 40.75 | 46 | 4 2 2 |
| 1.918 | 47.41 | 45 | 4 4 0 |
| 1.808 | 50.48 | 28 | 6 0 0 |
| 1.715 | 53.42 | 21 | 6 2 0 |
| 1.449 | 64.26 | 24 | 6 4 2 |
| 1.213 | 78.94 | 19 | 8 4 0 |

(2)
Structure and calculated XRD peak list of Y2ZnHg (a PBE-relaxed structure; Cu Kα X-rays).
Peak positions follow from Bragg's law for the DFT cell and can differ from measured ones.

Crystal structure
Lattice parameters (Å, degrees): 7.3400 7.3400 7.3400 90.00 90.00 90.00
Space group Fm-3m (No. 225)
Asymmetric unit:
Y  0.2500  0.2500  0.2500 x8
Zn  0.0000  0.0000  0.0000 x4
Hg  0.0000  0.0000  0.5000 x4

Top 10 peaks for 10 to 80 degrees two-theta, low angle first:
| d (Å) | Position (°2θ) | I_rel | (hkl) |
| --- | --- | --- | --- |
| 4.238 | 20.96 | 18 | 1 1 1 |
| 3.670 | 24.25 | 4 | 2 0 0 |
| 2.595 | 34.56 | 100 | 2 2 0 |
| 2.213 | 40.77 | 10 | 3 1 1 |
| 1.835 | 49.68 | 18 | 4 0 0 |
| 1.684 | 54.49 | 5 | 3 3 1 |
| 1.498 | 61.93 | 36 | 4 2 2 |
| 1.413 | 66.15 | 4 | 5 1 1 |
| 1.298 | 72.90 | 11 | 4 4 0 |
| 1.241 | 76.83 | 4 | 5 3 1 |

(3)
Structure and calculated XRD peak list of Rb2Sb4S7 (a PBE-relaxed structure; Cu Kα X-rays).
Peak positions follow from Bragg's law for the DFT cell and can differ from measured ones.

Crystal structure
Lattice parameters (Å, degrees): 7.6085 9.8481 11.9203 79.62 87.80 77.30
Space group P-1 (No. 2)
Asymmetric unit:
Rb  0.0791  0.2374  0.4352 x2
Rb  0.2262  0.8402  0.8959 x2
Sb  0.0039  0.6851  0.2293 x2
Sb  0.2275  0.3637  0.0517 x2
Sb  0.3432  0.9324  0.1907 x2
Sb  0.4690  0.4480  0.6552 x2
S  0.0522  0.9212  0.2887 x2
S  0.0589  0.5675  0.8505 x2
S  0.1539  0.1751  0.9516 x2
S  0.2674  0.5200  0.4617 x2
S  0.3113  0.6284  0.1538 x2
S  0.3700  0.1685  0.2279 x2
S  0.4549  0.1982  0.6466 x2

Top 10 peaks for 10 to 80 degrees two-theta, low angle first:
| d (Å) | Position (°2θ) | I_rel | (hkl) |
| --- | --- | --- | --- |
| 8.091 | 10.94 | 32 | 0 1 1 |
| 6.274 | 14.12 | 24 | 1 0 -1 |
| 4.139 | 21.47 | 23 | 1 1 -2 |
| 3.860 | 23.04 | 37 | 0 1 3 |
| 3.643 | 24.43 | 47 | 1 -2 0 |
| 3.539 | 25.16 | 28 | 2 0 -1 |
| 3.192 | 27.96 | 28 | 1 3 1 |
| 3.138 | 28.45 | 34 | 2 0 -2 |
| 3.008 | 29.70 | 100 | 1 -1 3 |
| 2.241 | 40.24 | 20 | 0 4 -1 |